This entry pairs a crystal structure of PmPr6NdY2 with its simulated powder X-ray diffraction pattern. Radiation: CuKα. Structure: a cell relaxed with GGA-PBE.

Atomic structure:
```
data_PmPr6NdY2
_space_group_name_H-M_alt 'C 1 2/m 1'
_space_group_IT_number 12
_cell_length_a 11.362
_cell_length_b 7.180
_cell_length_c 9.028
_cell_angle_alpha 90.00
_cell_angle_beta 103.30
_cell_angle_gamma 90.00
loop_
_space_group_symop_operation_xyz
'x,y,z'
'-x,-y,-z'
'-x,y,-z'
'x,-y,z'
'x+1/2,y+1/2,z'
'-x+1/2,-y+1/2,-z'
'-x+1/2,y+1/2,-z'
'x+1/2,-y+1/2,z'
loop_
_atom_site_label
_atom_site_fract_x
_atom_site_fract_y
_atom_site_fract_z
Pm1 0.000 0.000 0.000
Pr1 0.135 0.000 0.428
Pr2 0.177 0.271 0.801
Nd1 0.000 0.500 0.500
Y1 0.090 0.500 0.162
```

Peak list (10 most intense, 2θ = 10–90°, low angle first)
- 26.57 deg, d 3.355, I = 29
- 27.01 deg, d 3.301, I = 29
- 28.72 deg, d 3.109, I = 48
- 29.67 deg, d 3.011, I = 54
- 30.15 deg, d 2.964, I = 84
- 30.51 deg, d 2.930, I = 57
- 31.04 deg, d 2.881, I = 75
- 31.62 deg, d 2.830, I = 29
- 32.22 deg, d 2.778, I = 100
- 54.73 deg, d 1.677, I = 31

=====

This entry pairs a crystal structure of Nd2Zn5Ga3 with its simulated powder X-ray diffraction pattern. Radiation: CuKα. Structure: a cell relaxed with GGA-PBE.

Atomic structure:
```
data_Nd2Zn5Ga3
_space_group_name_H-M_alt 'P -4 m 2'
_space_group_IT_number 115
_cell_length_a 4.271
_cell_length_b 4.271
_cell_length_c 10.577
_cell_angle_alpha 90.00
_cell_angle_beta 90.00
_cell_angle_gamma 90.00
loop_
_space_group_symop_operation_xyz
'x,y,z'
'y,-x,-z'
'-x,-y,z'
'-y,x,-z'
'-x,y,z'
'-y,-x,-z'
'x,-y,z'
'y,x,-z'
loop_
_atom_site_label
_atom_site_fract_x
_atom_site_fract_y
_atom_site_fract_z
Nd1 0.000 0.500 0.249
Zn1 0.000 0.000 0.000
Zn2 0.000 0.000 0.500
Zn3 0.000 0.500 0.873
Zn4 0.500 0.500 0.000
Ga1 0.000 0.500 0.642
Ga2 0.500 0.500 0.500
```

Peak list (10 most intense, 2θ = 10–90°, low angle first)
- 29.58 deg, d 3.020, I = 17
- 32.94 deg, d 2.719, I = 61
- 34.19 deg, d 2.622, I = 100
- 42.33 deg, d 2.135, I = 55
- 47.99 deg, d 1.896, I = 29
- 54.65 deg, d 1.679, I = 28
- 61.40 deg, d 1.510, I = 18
- 65.89 deg, d 1.418, I = 22
- 72.19 deg, d 1.309, I = 22
- 86.60 deg, d 1.124, I = 12

=====

This entry pairs a crystal structure of NiPb4 with its simulated powder X-ray diffraction pattern. Radiation: CuKα. Structure: a cell relaxed with GGA-PBE.

Atomic structure:
```
data_NiPb4
_space_group_name_H-M_alt 'P 4/m c c'
_space_group_IT_number 124
_space_group_name_Hall '-P 4 2c'
_cell_length_a 6.816
_cell_length_b 6.816
_cell_length_c 6.037
_cell_angle_alpha 90.00
_cell_angle_beta 90.00
_cell_angle_gamma 90.00
loop_
_atom_site_label
_atom_site_fract_x
_atom_site_fract_y
_atom_site_fract_z
Ni1 0.000 0.000 0.250
Pb1 0.164 0.315 0.000
```

Peak list (10 most intense, 2θ = 10–90°, low angle first)
- 12.99 deg, d 6.816, I = 9
- 26.15 deg, d 3.408, I = 22
- 29.59 deg, d 3.019, I = 27
- 32.92 deg, d 2.721, I = 100
- 39.90 deg, d 2.260, I = 25
- 41.91 deg, d 2.155, I = 14
- 54.65 deg, d 1.679, I = 24
- 57.83 deg, d 1.594, I = 27
- 65.86 deg, d 1.418, I = 14
- 74.24 deg, d 1.277, I = 13

=====

This entry pairs a crystal structure of Pm2Sm4Tl with its simulated powder X-ray diffraction pattern. Radiation: CuKα. Structure: a cell relaxed with GGA-PBE.

Atomic structure:
```
data_Pm2Sm4Tl
_space_group_name_H-M_alt 'P m n a'
_space_group_IT_number 53
_cell_length_a 6.629
_cell_length_b 6.406
_cell_length_c 10.863
_cell_angle_alpha 90.00
_cell_angle_beta 90.00
_cell_angle_gamma 90.00
loop_
_space_group_symop_operation_xyz
'x,y,z'
'-x,-y,-z'
'-x+1/2,-y,z+1/2'
'x+1/2,y,-z+1/2'
'x,-y,-z'
'-x,y,z'
'-x+1/2,y,-z+1/2'
'x+1/2,-y,z+1/2'
loop_
_atom_site_label
_atom_site_fract_x
_atom_site_fract_y
_atom_site_fract_z
Pm1 0.000 0.244 0.040
Sm1 0.000 0.070 0.345
Sm2 0.250 0.400 0.750
Tl1 0.000 0.500 0.500
```

Peak list (10 most intense, 2θ = 10–90°, low angle first)
- 26.90 deg, d 3.314, I = 26
- 28.31 deg, d 3.152, I = 31
- 29.06 deg, d 3.072, I = 41
- 31.45 deg, d 2.845, I = 100
- 31.62 deg, d 2.829, I = 60
- 32.11 deg, d 2.788, I = 95
- 34.66 deg, d 2.588, I = 63
- 35.92 deg, d 2.500, I = 41
- 50.90 deg, d 1.794, I = 26
- 55.46 deg, d 1.657, I = 24

=====

This entry pairs a crystal structure of TbCuGeTe3 with its simulated powder X-ray diffraction pattern. Radiation: CuKα. Structure: a cell relaxed with GGA-PBE.

Atomic structure:
```
data_TbCuGeTe3
_space_group_name_H-M_alt 'P 1 21/m 1'
_space_group_IT_number 11
_cell_length_a 8.696
_cell_length_b 4.131
_cell_length_c 9.341
_cell_angle_alpha 90.00
_cell_angle_beta 99.38
_cell_angle_gamma 90.00
loop_
_space_group_symop_operation_xyz
'x,y,z'
'-x,-y,-z'
'-x,y+1/2,-z'
'x,-y+1/2,z'
loop_
_atom_site_label
_atom_site_fract_x
_atom_site_fract_y
_atom_site_fract_z
Tb1 0.160 0.250 0.250
Cu1 0.065 0.250 0.572
Ge1 0.345 0.750 0.851
Te1 0.103 0.250 0.867
Te2 0.241 0.750 0.509
Te3 0.404 0.750 0.159
```

Peak list (10 most intense, 2θ = 10–90°, low angle first)
- 10.31 deg, d 8.580, I = 29
- 15.21 deg, d 5.825, I = 23
- 29.06 deg, d 3.073, I = 50
- 30.03 deg, d 2.976, I = 100
- 30.51 deg, d 2.930, I = 45
- 36.45 deg, d 2.465, I = 19
- 36.59 deg, d 2.456, I = 38
- 41.65 deg, d 2.169, I = 29
- 43.83 deg, d 2.065, I = 34
- 53.44 deg, d 1.714, I = 22

=====

This entry pairs a crystal structure of RePbBr2F6 with its simulated powder X-ray diffraction pattern. Radiation: CuKα. Structure: a cell relaxed with GGA-PBE.

Atomic structure:
```
data_RePbBr2F6
_space_group_name_H-M_alt 'F m -3 m'
_space_group_IT_number 225
_space_group_name_Hall '-F 4 2 3'
_cell_length_a 9.166
_cell_length_b 9.166
_cell_length_c 9.166
_cell_angle_alpha 90.00
_cell_angle_beta 90.00
_cell_angle_gamma 90.00
loop_
_atom_site_label
_atom_site_fract_x
_atom_site_fract_y
_atom_site_fract_z
Re1 0.000 0.000 0.000
Pb1 0.000 0.000 0.500
Br1 0.250 0.250 0.250
F1 0.000 0.000 0.208
```

Peak list (10 most intense, 2θ = 10–90°, low angle first)
- 19.37 deg, d 4.583, I = 30
- 27.52 deg, d 3.241, I = 100
- 39.32 deg, d 2.292, I = 30
- 44.19 deg, d 2.050, I = 13
- 48.66 deg, d 1.871, I = 40
- 56.82 deg, d 1.620, I = 19
- 60.61 deg, d 1.528, I = 6
- 64.27 deg, d 1.449, I = 21
- 71.28 deg, d 1.323, I = 6
- 78.01 deg, d 1.225, I = 23

=====

This entry pairs a crystal structure of Ac5La2PmNd with its simulated powder X-ray diffraction pattern. Radiation: CuKα. Structure: a cell relaxed with GGA-PBE.

Atomic structure:
```
data_Ac5La2PmNd
_space_group_name_H-M_alt 'I 4/m c m'
_space_group_IT_number 140
_space_group_name_Hall '-I 4 2c'
_cell_length_a 8.530
_cell_length_b 8.530
_cell_length_c 20.753
_cell_angle_alpha 90.00
_cell_angle_beta 90.00
_cell_angle_gamma 90.00
loop_
_atom_site_label
_atom_site_fract_x
_atom_site_fract_y
_atom_site_fract_z
Ac1 0.000 0.000 0.000
Ac2 0.224 0.276 0.138
La1 0.121 0.379 0.500
Pm1 0.000 0.000 0.250
Nd1 0.000 0.500 0.250
```

Peak list (10 most intense, 2θ = 10–90°, low angle first)
- 26.69 deg, d 3.341, I = 22
- 27.06 deg, d 3.295, I = 100
- 29.62 deg, d 3.016, I = 39
- 34.36 deg, d 2.610, I = 9
- 34.58 deg, d 2.594, I = 17
- 42.39 deg, d 2.133, I = 8
- 46.16 deg, d 1.967, I = 18
- 51.01 deg, d 1.790, I = 26
- 57.50 deg, d 1.603, I = 7
- 66.85 deg, d 1.400, I = 7

=====

This entry pairs a crystal structure of SmHo4MgS8 with its simulated powder X-ray diffraction pattern. Radiation: CuKα. Structure: a cell relaxed with GGA-PBE.

Atomic structure:
```
data_SmHo4MgS8
_space_group_name_H-M_alt 'R 3 m'
_space_group_IT_number 160
_space_group_name_Hall 'R 3 -2"'
_cell_length_a 7.9667
_cell_length_b 7.9667
_cell_length_c 19.6097
_cell_angle_alpha 90.00
_cell_angle_beta 90.00
_cell_angle_gamma 120.00
loop_
_atom_site_label
_atom_site_fract_x
_atom_site_fract_y
_atom_site_fract_z
Sm1 0.0000 0.0000 0.0000
Ho1 0.0000 0.0000 0.3769
Ho2 0.0073 0.5036 0.5033
Mg1 0.0000 0.0000 0.6271
S1 0.0000 0.0000 0.2437
S2 0.0000 0.0000 0.7564
S3 0.0174 0.5087 0.7574
S4 0.1702 0.3404 0.5824
```

Peak list (10 most intense, 2θ = 10–90°, low angle first)
- 13.59 deg, d 6.517, I = 34
- 22.28 deg, d 3.991, I = 13
- 26.19 deg, d 3.402, I = 100
- 27.41 deg, d 3.254, I = 16
- 31.72 deg, d 2.821, I = 37
- 41.51 deg, d 2.175, I = 12
- 41.61 deg, d 2.171, I = 31
- 45.39 deg, d 1.998, I = 31
- 45.55 deg, d 1.992, I = 31
- 63.39 deg, d 1.467, I = 12

=====

This entry pairs a crystal structure of Cs4PrU3Se8 with its simulated powder X-ray diffraction pattern. Radiation: CuKα. Structure: a cell relaxed with GGA-PBE.

Atomic structure:
```
data_Cs4PrU3Se8
_space_group_name_H-M_alt 'R -3 m'
_space_group_IT_number 166
_space_group_name_Hall '-R 3 2"'
_cell_length_a 8.6315
_cell_length_b 8.6315
_cell_length_c 25.3135
_cell_angle_alpha 90.00
_cell_angle_beta 90.00
_cell_angle_gamma 120.00
loop_
_atom_site_label
_atom_site_fract_x
_atom_site_fract_y
_atom_site_fract_z
Cs1 0.0000 0.0000 0.0000
Cs2 0.0000 0.5000 0.0000
Pr1 0.0000 0.0000 0.5000
U1 0.0000 0.5000 0.5000
Se1 0.0000 0.0000 0.2286
Se2 0.0080 0.5040 0.7701
```

Peak list (10 most intense, 2θ = 10–90°, low angle first)
- 10.48 deg, d 8.438, I = 24
- 21.06 deg, d 4.219, I = 14
- 24.84 deg, d 3.585, I = 19
- 27.72 deg, d 3.218, I = 100
- 37.23 deg, d 2.415, I = 36
- 41.86 deg, d 2.158, I = 36
- 43.16 deg, d 2.096, I = 11
- 50.95 deg, d 1.792, I = 19
- 61.47 deg, d 1.508, I = 11
- 67.99 deg, d 1.379, I = 16

=====

This entry pairs a crystal structure of Mg12CdPb2 with its simulated powder X-ray diffraction pattern. Radiation: CuKα. Structure: a cell relaxed with GGA-PBE.

Atomic structure:
```
data_Mg12CdPb2
_space_group_name_H-M_alt 'P 4/n b m'
_space_group_IT_number 125
_cell_length_a 5.959
_cell_length_b 5.959
_cell_length_c 21.786
_cell_angle_alpha 90.00
_cell_angle_beta 90.00
_cell_angle_gamma 90.00
loop_
_space_group_symop_operation_xyz
'x,y,z'
'-x,-y,-z'
'-y+1/2,x,z'
'y+1/2,-x,-z'
'-x+1/2,-y+1/2,z'
'x+1/2,y+1/2,-z'
'y,-x+1/2,z'
'-y,x+1/2,-z'
'x,-y+1/2,-z'
'-x,y+1/2,z'
'-y+1/2,-x+1/2,-z'
'y+1/2,x+1/2,z'
'-x+1/2,y,-z'
'x+1/2,-y,z'
'y,x,-z'
'-y,-x,z'
loop_
_atom_site_label
_atom_site_fract_x
_atom_site_fract_y
_atom_site_fract_z
Mg1 0.007 0.507 0.096
Mg2 0.077 0.577 0.563
Mg3 0.250 0.250 0.200
Mg4 0.250 0.250 0.335
Cd1 0.250 0.750 0.000
Pb1 0.250 0.750 0.264
```

Peak list (10 most intense, 2θ = 10–90°, low angle first)
- 16.27 deg, d 5.447, I = 50
- 21.08 deg, d 4.214, I = 66
- 24.46 deg, d 3.639, I = 34
- 26.75 deg, d 3.333, I = 100
- 31.12 deg, d 2.874, I = 49
- 32.52 deg, d 2.753, I = 42
- 34.31 deg, d 2.614, I = 65
- 35.87 deg, d 2.503, I = 36
- 42.93 deg, d 2.107, I = 32
- 51.30 deg, d 1.781, I = 34

=====

This entry pairs a crystal structure of Tl2Te2O5 with its simulated powder X-ray diffraction pattern. Radiation: CuKα. Structure: a cell relaxed with GGA-PBE.

Atomic structure:
```
data_Tl2Te2O5
_space_group_name_H-M_alt 'C 1 2/m 1'
_space_group_IT_number 12
_cell_length_a 13.696
_cell_length_b 4.244
_cell_length_c 6.609
_cell_angle_alpha 90.00
_cell_angle_beta 109.29
_cell_angle_gamma 90.00
loop_
_space_group_symop_operation_xyz
'x,y,z'
'-x,-y,-z'
'-x,y,-z'
'x,-y,z'
'x+1/2,y+1/2,z'
'-x+1/2,-y+1/2,-z'
'-x+1/2,y+1/2,-z'
'x+1/2,-y+1/2,z'
loop_
_atom_site_label
_atom_site_fract_x
_atom_site_fract_y
_atom_site_fract_z
Tl1 0.119 0.000 0.430
Te1 0.147 0.500 0.993
O1 0.000 0.500 0.000
O2 0.178 0.000 0.997
O3 0.197 0.500 0.297
```

Peak list (10 most intense, 2θ = 10–90°, low angle first)
- 25.03 deg, d 3.558, I = 31
- 27.34 deg, d 3.262, I = 16
- 27.57 deg, d 3.235, I = 100
- 28.62 deg, d 3.119, I = 29
- 29.70 deg, d 3.008, I = 59
- 32.66 deg, d 2.742, I = 17
- 42.61 deg, d 2.122, I = 19
- 46.94 deg, d 1.936, I = 18
- 51.43 deg, d 1.777, I = 21
- 51.50 deg, d 1.774, I = 27

=====

This entry pairs a crystal structure of Fe3Cu4Pd12 with its simulated powder X-ray diffraction pattern. Radiation: CuKα. Structure: a cell relaxed with GGA-PBE.

Atomic structure:
```
data_Fe3Cu4Pd12
_space_group_name_H-M_alt 'I m -3'
_space_group_IT_number 204
_space_group_name_Hall '-I 2 2 3'
_cell_length_a 9.211
_cell_length_b 9.211
_cell_length_c 9.211
_cell_angle_alpha 90.00
_cell_angle_beta 90.00
_cell_angle_gamma 90.00
loop_
_atom_site_label
_atom_site_fract_x
_atom_site_fract_y
_atom_site_fract_z
Fe1 0.000 0.000 0.500
Cu1 0.250 0.250 0.250
Pd1 0.000 0.354 0.260
```

Peak list (10 most intense, 2θ = 10–90°, low angle first)
- 13.59 deg, d 6.513, I = 100
- 23.66 deg, d 3.760, I = 25
- 30.69 deg, d 2.913, I = 18
- 36.50 deg, d 2.462, I = 43
- 39.12 deg, d 2.303, I = 28
- 41.60 deg, d 2.171, I = 21
- 43.96 deg, d 2.060, I = 63
- 48.41 deg, d 1.880, I = 47
- 50.52 deg, d 1.806, I = 22
- 77.56 deg, d 1.231, I = 26